# Na3Mn2Br3O2
Theoretical powder diffraction line list, Cu Kα (weighted mean of Kα1 and Kα2). Input: a PBE+U-relaxed structure.
Neutral-atom scattering factors, no anomalous dispersion.

Principal peaks in the range 5° ≤ 2θ ≤ 70°, in order of rising 2θ:
24.0°, I = 55, hkl 1 0 3; 28.3°, I = 56, hkl 1 0 5; 29.7°, I = 100, hkl 0 0 8; 30.3°, I = 55, hkl 1 1 0; 31.2°, I = 58, hkl 1 1 2; 33.8°, I = 56, hkl 1 1 4; 37.8°, I = 46, hkl 1 1 6; 42.9°, I = 35, hkl 1 1 8; 43.4°, I = 73, hkl 2 0 0; 53.4°, I = 71, hkl 2 0 8

Structural model:
abc: 4.173 4.173 24.079
angles: 90.00 90.00 90.00
Space group I4/mmm (No. 139)
Unique sites:
Na (0.000, 0.000, 0.000)
Na (0.000, 0.000, 0.373)
Mn (0.000, 0.500, 0.250)
Br (0.000, 0.000, 0.127)
Br (0.000, 0.000, 0.500)
O (0.000, 0.000, 0.272)